# Hg3H4S2O11
Computed X-ray powder pattern, Cu Kα. Input: a PBE-relaxed structure.
Peak positions follow from Bragg's law for the DFT cell and can differ from measured ones.

Structural model:
a = 5.800 Å, b = 5.800 Å, c = 15.162 Å
α = 95.79°, β = 95.79°, γ = 102.89°
Element x y z (fractional)
Hg (0.000, 0.500, 0.500)
Hg (0.186, 0.313, 0.152)
Hg (0.313, 0.186, 0.652)
Hg (0.500, 0.000, 0.000)
Hg (0.687, 0.814, 0.348)
Hg (0.814, 0.687, 0.848)
H (0.102, 0.724, 0.356)
H (0.147, 0.673, 0.712)
H (0.276, 0.898, 0.144)
H (0.327, 0.853, 0.788)
H (0.673, 0.147, 0.212)
H (0.724, 0.102, 0.856)
H (0.853, 0.327, 0.288)
H (0.898, 0.276, 0.644)
S (0.192, 0.377, 0.895)
S (0.377, 0.192, 0.395)
S (0.623, 0.808, 0.605)
S (0.808, 0.623, 0.105)
O (0.052, 0.385, 0.636)
O (0.059, 0.631, 0.156)
O (0.148, 0.157, 0.433)
O (0.157, 0.148, 0.933)
O (0.172, 0.828, 0.750)
O (0.252, 0.583, 0.966)
O (0.365, 0.395, 0.829)
O (0.369, 0.941, 0.344)
O (0.385, 0.052, 0.136)
O (0.395, 0.365, 0.329)
O (0.417, 0.748, 0.534)
O (0.583, 0.252, 0.466)
O (0.605, 0.635, 0.671)
O (0.615, 0.948, 0.864)
O (0.631, 0.059, 0.656)
O (0.635, 0.605, 0.171)
O (0.748, 0.417, 0.034)
O (0.828, 0.172, 0.250)
O (0.843, 0.852, 0.067)
O (0.852, 0.843, 0.567)
O (0.941, 0.369, 0.844)
O (0.948, 0.615, 0.364)

Top 10 peaks for 15 to 90 degrees two-theta, by angle:
2θ/deg  Rel. int.
18.5  54
21.0  42
22.3  70
22.9  38
25.0  100
25.4  53
31.0  49
32.3  42
33.1  50
36.0  41